Computed powder diffractogram
Compound: Ce2PbS4
Radiation: Cu Kα (λ = 1.5418 Å)
Structure: a PBE-relaxed structure
No peak broadening, texture or thermal motion is included.

Crystal structure
```
data_Ce2PbS4
_chemical_formula_sum 'Ce8 Pb4 S16'
_space_group_name_H-M_alt 'I -4 2 d'
_space_group_IT_number 122
_space_group_name_Hall 'I -4 2bw'
_cell_length_a 8.7112
_cell_length_b 8.7112
_cell_length_c 8.7317
_cell_angle_alpha 90.00
_cell_angle_beta 90.00
_cell_angle_gamma 90.00
loop_
_atom_site_label
_atom_site_fract_x
_atom_site_fract_y
_atom_site_fract_z
Ce1 0.1323 0.7500 0.1250
Pb1 0.0000 0.0000 0.5000
S1 0.0763 0.6712 0.4407
```

Main lines, low angle first (10 to 90 degrees two-theta):
- d = 3.559 Å, rel. 100
- d = 2.757 Å, rel. 85
- d = 2.330 Å, rel. 55
- d = 1.950 Å, rel. 38
- d = 1.859 Å, rel. 25
- d = 1.711 Å, rel. 16
- d = 1.709 Å, rel. 14
- d = 1.416 Å, rel. 13
- d = 1.414 Å, rel. 22
- d = 1.186 Å, rel. 14